Simulated powder diffraction line list
Compound: Ac2TlI
Radiation: Cu Ka
Structure: a PBE-relaxed structure
No peak broadening, texture or thermal motion is included.

Structure:
abc: 4.932 4.932 23.024
angles: 90.00 90.00 120.00
Sites, in units of the cell vectors:
Ac 0.000 0.000 0.241
Ac 0.000 0.000 0.759
Ac 0.333 0.667 0.426
Ac 0.333 0.667 0.908
Ac 0.667 0.333 0.092
Ac 0.667 0.333 0.574
Tl 0.000 0.000 0.500
Tl 0.333 0.667 0.167
Tl 0.667 0.333 0.833
I 0.000 0.000 0.000
I 0.333 0.667 0.667
I 0.667 0.333 0.333

Top 10 peaks for 5° ≤ 2θ ≤ 70°, by angle:
2θ/deg, Rel. int.
11.53, 8
25.98, 100
36.44, 43
37.69, 35
45.29, 23
53.43, 13
59.47, 21
61.21, 15
65.57, 8
66.40, 14

Simulated powder diffraction line list
Compound: LaSiNi
Radiation: Cu Ka
Structure: a PBE-relaxed structure
No peak broadening, texture or thermal motion is included.

Structure:
abc: 4.184 4.184 14.037
angles: 90.00 90.00 90.00
Sites, in units of the cell vectors:
La 0.000 0.000 0.000
La 0.000 0.500 0.250
La 0.500 0.000 0.750
La 0.500 0.500 0.500
Si 0.000 0.000 0.420
Si 0.000 0.500 0.670
Si 0.500 0.000 0.170
Si 0.500 0.500 0.920
Ni 0.000 0.000 0.589
Ni 0.000 0.500 0.839
Ni 0.500 0.000 0.339
Ni 0.500 0.500 0.089

Top 10 peaks for 5° ≤ 2θ ≤ 70°, by angle:
2θ/deg, Rel. int.
22.17, 13
28.62, 45
32.85, 100
38.62, 46
43.24, 36
50.47, 20
52.68, 16
59.35, 25
62.81, 12
68.59, 15

Simulated powder diffraction line list
Compound: Er7Sn3C2
Radiation: Cu Ka
Structure: a PBE-relaxed structure
No peak broadening, texture or thermal motion is included.

Structure:
abc: 13.095 13.095 13.095
angles: 158.89 158.89 30.03
Sites, in units of the cell vectors:
Er 0.000 0.000 0.000
Er 0.096 0.596 0.500
Er 0.194 0.194 0.000
Er 0.404 0.904 0.500
Er 0.596 0.096 0.500
Er 0.806 0.806 0.000
Er 0.904 0.404 0.500
Sn 0.319 0.319 0.000
Sn 0.500 0.500 0.000
Sn 0.681 0.681 0.000
C 0.097 0.097 0.000
C 0.903 0.903 0.000

Top 10 peaks for 5° ≤ 2θ ≤ 70°, by angle:
2θ/deg, Rel. int.
27.21, 14
29.89, 54
33.91, 100
35.49, 26
37.49, 59
52.57, 34
54.06, 21
65.09, 19
65.36, 31
66.35, 17

Simulated powder diffraction line list
Compound: Tb3HoSc5
Radiation: Cu Ka
Structure: a PBE-relaxed structure
No peak broadening, texture or thermal motion is included.

Structure:
abc: 9.253 9.253 9.253
angles: 126.44 126.44 79.17
Sites, in units of the cell vectors:
Tb 0.119 0.619 0.738
Tb 0.250 0.250 0.000
Tb 0.381 0.119 0.500
Tb 0.619 0.881 0.500
Tb 0.750 0.750 0.000
Tb 0.881 0.381 0.262
Ho 0.250 0.750 0.500
Ho 0.750 0.250 0.500
Sc 0.000 0.000 0.000
Sc 0.072 0.157 0.500
Sc 0.157 0.657 0.085
Sc 0.343 0.428 0.500
Sc 0.428 0.928 0.085
Sc 0.500 0.500 0.000
Sc 0.572 0.072 0.915
Sc 0.657 0.572 0.500
Sc 0.843 0.343 0.915
Sc 0.928 0.843 0.500

Top 10 peaks for 5° ≤ 2θ ≤ 70°, by angle:
2θ/deg, Rel. int.
21.31, 27
24.71, 72
24.97, 45
30.32, 54
30.46, 71
32.87, 29
33.06, 100
39.47, 35
39.78, 26
45.32, 56

Simulated powder diffraction line list
Compound: Pu2CoB10
Radiation: Cu Ka
Structure: a PBE-relaxed structure
No peak broadening, texture or thermal motion is included.

Structure:
abc: 5.559 11.065 4.140
angles: 90.00 90.00 90.00
Sites, in units of the cell vectors:
Pu 0.192 0.137 0.000
Pu 0.308 0.637 0.000
Pu 0.692 0.363 0.000
Pu 0.808 0.863 0.000
Co 0.000 0.500 0.500
Co 0.500 0.000 0.500
B 0.029 0.314 0.500
B 0.128 0.961 0.500
B 0.158 0.802 0.500
B 0.199 0.388 0.199
B 0.199 0.388 0.801
B 0.301 0.888 0.199
B 0.301 0.888 0.801
B 0.342 0.302 0.500
B 0.372 0.461 0.500
B 0.471 0.814 0.500
B 0.529 0.186 0.500
B 0.628 0.539 0.500
B 0.658 0.698 0.500
B 0.699 0.112 0.199
B 0.699 0.112 0.801
B 0.801 0.612 0.199
B 0.801 0.612 0.801
B 0.842 0.198 0.500
B 0.872 0.039 0.500
B 0.971 0.686 0.500

Top 10 peaks for 5° ≤ 2θ ≤ 70°, by angle:
2θ/deg, Rel. int.
21.46, 42
22.68, 82
28.06, 18
31.42, 100
32.36, 20
39.03, 27
39.16, 41
39.91, 17
43.73, 16
49.83, 37